# BaH2O
Calculated PXRD pattern, Cu Kα (weighted mean of Kα1 and Kα2). Input: a cell relaxed with PBE.

Crystal structure
```
8
Lattice="3.830 -2.258 0.000 3.830 2.258 0.000 -3.506 0.000 7.695" Properties=species:S:1:pos:R:3 pbc="T T T"
Ba 2.077 1.602 3.847
Ba 3.830 -1.602 0.000
H 2.529 0.821 1.127
H 1.323 0.199 5.986
H 3.076 -0.199 2.139
H 0.776 -0.821 4.974
O 1.686 0.872 6.635
O 3.439 -0.872 2.788
```

Top 8 peaks for 2θ = 10–90°, in order of rising 2θ:
| 2θ (°) | I (rel.) |
| --- | --- |
| 23.12 | 78 |
| 23.47 | 50 |
| 23.72 | 100 |
| 25.56 | 70 |
| 26.45 | 42 |
| 28.50 | 42 |
| 29.11 | 41 |
| 37.66 | 39 |

# BaH8O5
Calculated PXRD pattern, Cu Kα (weighted mean of Kα1 and Kα2). Input: a cell relaxed with PBE.

Crystal structure
```
56
Lattice="7.626 0.000 0.000 0.000 11.459 0.000 0.000 0.000 6.013" Properties=species:S:1:pos:R:3 pbc="T T T"
Ba 0.321 2.865 0.463
Ba 3.492 8.594 3.470
Ba 4.134 2.865 2.543
Ba 7.305 8.594 5.550
H 0.270 6.036 1.592
H 0.270 11.152 1.592
H 0.308 7.804 2.406
H 0.308 9.384 2.406
H 1.317 0.957 3.094
H 1.317 4.773 3.094
H 1.495 5.995 4.983
H 1.495 11.194 4.983
H 2.318 0.265 1.976
H 2.318 5.464 1.976
H 2.496 6.686 0.087
H 2.496 10.502 0.087
H 3.505 2.075 5.412
H 3.505 3.655 5.412
H 3.543 0.307 4.599
H 3.543 5.423 4.599
H 4.083 6.036 1.414
H 4.083 11.152 1.414
H 4.122 7.804 0.601
H 4.122 9.384 0.601
H 5.130 0.957 5.926
H 5.130 4.773 5.926
H 5.308 5.995 4.037
H 5.308 11.194 4.037
H 6.131 0.265 1.030
H 6.131 5.464 1.030
H 6.309 6.686 2.919
H 6.309 10.502 2.919
H 7.318 2.075 3.608
H 7.318 3.655 3.608
H 7.357 0.307 4.421
H 7.357 5.423 4.421
O 0.484 0.928 4.501
O 0.484 4.802 4.501
O 0.739 8.594 2.876
O 1.762 1.094 2.186
O 1.762 4.635 2.186
O 2.051 6.824 5.193
O 2.051 10.364 5.193
O 3.074 2.865 5.883
O 3.329 6.657 1.495
O 3.329 10.531 1.495
O 4.297 0.928 4.518
O 4.297 4.802 4.518
O 4.552 8.594 0.130
O 5.575 1.094 0.820
O 5.575 4.635 0.820
O 5.864 6.824 3.827
O 5.864 10.364 3.827
O 6.888 2.865 3.137
O 7.142 6.657 1.512
O 7.142 10.531 1.512
```

Top 8 peaks for 2θ = 10–90°, in order of rising 2θ:
| 2θ (°) | I (rel.) |
| --- | --- |
| 15.47 | 92 |
| 16.65 | 38 |
| 18.79 | 78 |
| 24.43 | 100 |
| 28.11 | 55 |
| 32.96 | 58 |
| 36.69 | 38 |
| 39.30 | 63 |

# Ba2H2O
Calculated PXRD pattern, Cu Kα (weighted mean of Kα1 and Kα2). Input: a cell relaxed with PBE.

Crystal structure
```
20
Lattice="10.949 0.000 0.000 0.000 6.906 0.000 0.000 0.000 6.682" Properties=species:S:1:pos:R:3 pbc="T T T"
Ba 1.271 0.468 1.670
Ba 1.271 2.985 5.011
Ba 4.199 0.467 5.011
Ba 4.199 2.986 1.670
Ba 6.750 3.919 5.011
Ba 6.750 6.439 1.670
Ba 9.679 3.921 1.670
Ba 9.679 6.438 5.011
H 0.590 5.179 0.000
H 0.590 5.179 3.341
H 4.893 5.179 0.000
H 4.893 5.179 3.341
H 6.057 1.726 0.000
H 6.057 1.726 3.341
H 10.359 1.726 0.000
H 10.359 1.726 3.341
O 2.734 1.726 0.000
O 2.734 1.726 3.341
O 8.215 5.179 0.000
O 8.215 5.179 3.341
```

Top 8 peaks for 2θ = 10–90°, in order of rising 2θ:
| 2θ (°) | I (rel.) |
| --- | --- |
| 15.17 | 22 |
| 24.66 | 100 |
| 26.68 | 21 |
| 30.26 | 23 |
| 32.72 | 12 |
| 37.46 | 11 |
| 42.70 | 15 |
| 45.91 | 19 |

# BaH16O10
Calculated PXRD pattern, Cu Kα (weighted mean of Kα1 and Kα2). Input: a cell relaxed with PBE.

Crystal structure
```
54
Lattice="4.497 -4.498 0.000 4.497 4.498 0.000 -0.094 0.000 11.604" Properties=species:S:1:pos:R:3 pbc="T T T"
Ba 4.450 4.491 5.802
Ba 4.497 -4.491 0.000
H 2.678 2.302 1.780
H 2.178 1.809 4.041
H 2.662 2.297 9.810
H 2.041 0.261 8.363
H 2.088 -0.261 2.561
H 4.738 2.391 3.269
H 4.706 2.370 8.330
H 3.940 1.473 1.264
H 3.008 0.541 4.556
H 3.906 1.442 10.330
H 2.973 0.477 7.102
H 3.020 -0.477 1.300
H 4.953 1.453 4.523
H 4.911 1.421 7.080
H 2.961 -0.541 10.358
H 2.131 -1.809 9.843
H 2.631 -2.302 7.582
H 6.767 1.785 1.764
H 2.709 -2.297 4.008
H 5.912 0.534 1.245
H 3.893 -1.473 7.066
H 3.953 -1.442 4.528
H 5.855 0.470 10.308
H 4.959 -1.421 1.278
H 5.902 -0.470 4.506
H 4.906 -1.453 10.325
H 5.865 -0.534 7.047
H 6.788 0.255 9.045
H 6.835 -0.255 3.243
H 4.753 -2.370 2.528
H 4.691 -2.391 9.071
H 6.720 -1.785 7.566
O 2.105 0.831 4.181
O 3.660 2.367 1.662
O 3.641 2.347 9.938
O 2.087 0.761 7.509
O 2.134 -0.761 1.707
O 5.241 2.341 4.122
O 5.198 2.317 7.471
O 2.058 -0.831 9.983
O 4.479 0.028 0.744
O 4.389 0.006 10.859
O 4.436 -0.006 5.057
O 4.432 -0.028 6.546
O 6.822 0.808 1.620
O 3.613 -2.367 7.464
O 3.688 -2.347 4.136
O 6.746 0.745 9.905
O 5.245 -2.317 1.669
O 6.793 -0.745 4.103
O 5.194 -2.341 9.924
O 6.775 -0.808 7.422
```

Top 8 peaks for 2θ = 10–90°, in order of rising 2θ:
| 2θ (°) | I (rel.) |
| --- | --- |
| 13.92 | 83 |
| 15.27 | 50 |
| 19.74 | 64 |
| 20.66 | 39 |
| 20.78 | 38 |
| 25.02 | 100 |
| 32.02 | 38 |
| 45.08 | 46 |

# BaH16O10
Calculated PXRD pattern, Cu Kα (weighted mean of Kα1 and Kα2). Input: a cell relaxed with PBE.

Crystal structure
```
54
Lattice="6.387 0.000 0.000 -0.002 6.425 0.000 -0.928 -0.848 11.585" Properties=species:S:1:pos:R:3 pbc="T T T"
Ba 0.000 0.000 0.000
Ba -0.014 -0.001 5.668
H 0.333 2.867 1.700
H 0.314 3.543 3.959
H 0.266 3.513 7.238
H 0.680 1.675 10.107
H 1.019 4.531 8.964
H 1.803 2.563 1.117
H 1.725 5.040 2.453
H 1.705 1.413 3.125
H 1.772 3.871 4.527
H 1.537 3.705 10.237
H 1.804 3.908 7.021
H 2.511 4.576 1.159
H 2.470 1.794 4.459
H 2.527 1.856 6.909
H 2.486 5.672 10.001
H 2.885 0.333 7.111
H 2.894 0.778 10.151
H 3.585 0.362 1.730
H 3.518 6.092 3.943
H 3.848 1.831 1.150
H 3.810 4.626 4.531
H 3.455 2.917 10.330
H 3.831 4.759 7.159
H 3.948 -0.578 8.387
H 4.545 3.902 1.175
H 4.552 2.552 4.508
H 4.368 3.670 9.189
H 4.988 4.682 2.482
H 4.648 2.563 7.061
H 5.003 1.769 3.202
H 5.675 1.841 8.150
H 5.537 2.125 10.102
O -0.245 1.358 9.876
O 0.981 2.134 1.561
O 0.967 4.280 4.064
O 0.899 4.288 7.297
O 1.159 4.609 9.959
O 2.093 5.387 1.601
O 2.055 1.025 3.970
O 2.115 0.946 7.024
O 2.226 2.277 10.646
O 3.168 3.158 0.564
O 3.207 3.280 5.127
O 3.247 3.311 6.613
O 3.279 -0.136 9.965
O 4.299 1.034 1.609
O 4.245 5.439 4.088
O 4.254 5.630 7.461
O 4.405 3.391 10.122
O 5.342 4.337 1.623
O 5.355 2.119 4.061
O 5.582 2.192 7.225
```

Top 8 peaks for 2θ = 10–90°, in order of rising 2θ:
| 2θ (°) | I (rel.) |
| --- | --- |
| 13.87 | 100 |
| 15.30 | 81 |
| 19.60 | 37 |
| 19.89 | 50 |
| 24.89 | 42 |
| 25.02 | 41 |
| 30.92 | 36 |
| 32.95 | 44 |

# BaH16O10
Calculated PXRD pattern, Cu Kα (weighted mean of Kα1 and Kα2). Input: a cell relaxed with PBE.

Crystal structure
```
54
Lattice="6.356 0.000 0.000 0.000 6.371 0.000 -0.085 0.000 11.583" Properties=species:S:1:pos:R:3 pbc="T T T"
Ba 0.000 0.004 0.000
Ba -0.043 6.366 5.791
H 0.240 2.830 9.818
H 0.283 3.541 4.027
H 1.284 1.682 2.555
H 1.242 4.689 8.347
H 1.623 1.320 8.348
H 1.666 5.051 2.557
H 1.785 2.495 1.294
H 1.742 3.875 7.085
H 1.730 2.548 10.335
H 1.772 3.822 4.543
H 2.434 1.831 7.088
H 2.477 4.539 1.296
H 2.513 1.762 4.553
H 2.470 4.609 10.344
H 2.822 0.279 4.037
H 2.779 6.091 9.828
H 3.492 0.288 1.758
H 3.449 6.083 7.549
H 3.802 1.770 1.242
H 3.759 4.600 7.033
H 3.793 1.838 10.288
H 3.836 4.532 4.497
H 4.497 2.539 7.042
H 4.540 3.832 1.251
H 4.529 2.487 4.500
H 4.486 3.883 10.292
H 4.604 1.325 9.027
H 4.646 5.045 3.236
H 5.027 1.677 3.236
H 4.985 4.694 9.027
H 5.986 2.819 7.560
H 6.029 3.552 1.769
O 0.890 2.098 9.963
O 0.933 4.272 4.172
O 0.960 2.068 1.703
O 0.917 4.303 7.494
O 1.999 1.004 7.487
O 2.042 5.367 1.696
O 2.080 0.920 4.175
O 2.037 5.450 9.967
O 3.137 3.168 5.049
O 3.095 3.202 10.840
O 3.177 3.176 0.746
O 3.135 3.194 6.537
O 4.234 0.928 1.619
O 4.192 5.442 7.410
O 4.227 1.010 9.888
O 4.270 5.360 4.097
O 5.353 2.060 4.089
O 5.311 4.310 9.880
O 5.336 2.088 7.414
O 5.379 4.282 1.623
```

Top 8 peaks for 2θ = 10–90°, in order of rising 2θ:
| 2θ (°) | I (rel.) |
| --- | --- |
| 13.92 | 100 |
| 15.30 | 61 |
| 19.73 | 77 |
| 20.71 | 71 |
| 25.00 | 80 |
| 25.13 | 80 |
| 32.05 | 68 |
| 45.06 | 56 |

# BaH2O
Calculated PXRD pattern, Cu Kα (weighted mean of Kα1 and Kα2). Input: a cell relaxed with PBE.

Crystal structure
```
8
Lattice="4.360 0.000 0.000 0.000 5.740 0.000 0.000 0.000 5.442" Properties=species:S:1:pos:R:3 pbc="T T T"
Ba 0.000 1.219 0.000
Ba 2.180 4.522 2.721
H 0.000 1.397 2.783
H 0.000 2.906 3.163
H 2.180 2.834 0.442
H 2.180 4.344 0.062
O 0.000 0.395 2.696
O 2.180 5.346 5.417
```

Top 8 peaks for 2θ = 10–90°, in order of rising 2θ:
| 2θ (°) | I (rel.) |
| --- | --- |
| 15.44 | 18 |
| 22.51 | 100 |
| 25.66 | 97 |
| 26.19 | 60 |
| 32.92 | 31 |
| 41.15 | 47 |
| 42.20 | 50 |
| 47.65 | 28 |

# Ba2HO
Calculated PXRD pattern, Cu Kα (weighted mean of Kα1 and Kα2). Input: a cell relaxed with PBE.

Crystal structure
```
4
Lattice="1.986 1.147 6.729 -1.986 1.147 6.729 0.000 -2.293 6.729" Properties=species:S:1:pos:R:3 pbc="T T T"
Ba 0.000 0.000 4.897
Ba 0.000 0.000 15.289
H 0.000 0.000 0.000
O 0.000 0.000 10.093
```

Top 8 peaks for 2θ = 10–90°, in order of rising 2θ:
| 2θ (°) | I (rel.) |
| --- | --- |
| 26.49 | 34 |
| 27.39 | 100 |
| 31.48 | 91 |
| 44.53 | 31 |
| 45.68 | 32 |
| 53.59 | 29 |
| 54.09 | 15 |
| 56.53 | 16 |

# BaHO
Calculated PXRD pattern, Cu Kα (weighted mean of Kα1 and Kα2). Input: a cell relaxed with PBE.

Crystal structure
```
3
Lattice="4.525 0.000 0.000 2.260 3.922 0.000 2.150 1.324 4.839" Properties=species:S:1:pos:R:3 pbc="T T T"
Ba 0.000 0.000 0.000
H 4.415 2.632 3.378
O 4.413 2.631 4.372
```

Top 8 peaks for 2θ = 10–90°, in order of rising 2θ:
| 2θ (°) | I (rel.) |
| --- | --- |
| 18.33 | 100 |
| 23.38 | 37 |
| 23.52 | 36 |
| 23.63 | 36 |
| 25.64 | 36 |
| 25.78 | 36 |
| 26.07 | 35 |
| 39.83 | 43 |